No. 1
This entry pairs a crystal structure of ZnH12S2O12 with its theoretical X-ray powder pattern. Radiation: Cu Ka. Structure: a cell relaxed with PBE.

Top 10 peaks for 2θ from 10° to 90°, low angle first:
2θ (°)  d/Å  I_rel
16.60  5.339  50
17.63  5.032  77
18.20  4.874  100
20.14  4.408  41
20.28  4.379  72
20.71  4.289  57
26.75  3.332  60
32.14  2.785  21
33.71  2.659  23
42.89  2.108  22

Crystal structure
```
ZnH12S2O12
1.0
6.541 0.000 0.000
-0.547 6.727 0.000
-0.786 -1.506 6.814
Zn H S O
1 12 2 12
Cartesian
0.000 0.000 0.000
0.004 2.420 1.293
0.510 5.151 1.998
0.183 3.301 5.648
0.979 -0.137 2.654
1.228 -0.207 5.584
2.425 1.165 0.290
2.783 4.056 6.524
3.981 5.428 1.230
4.229 5.358 4.159
5.025 1.920 1.166
4.698 0.070 4.815
5.205 2.801 5.521
2.647 3.136 2.442
2.561 2.085 4.372
-0.722 3.380 6.028
0.058 6.024 1.946
1.244 3.451 2.126
1.136 -0.781 6.377
1.721 0.906 4.129
1.957 3.068 5.287
3.251 2.152 1.526
3.487 4.315 2.685
4.072 6.002 0.436
3.964 1.770 4.688
5.150 -0.803 4.868
5.931 1.841 0.786
```



No. 2
This entry pairs a crystal structure of ZnH6S4O16 with its theoretical X-ray powder pattern. Radiation: Cu Ka. Structure: a cell relaxed with PBE.

Top 10 peaks for 2θ from 10° to 90°, low angle first:
2θ (°)  d/Å  I_rel
11.41  7.754  23
11.99  7.382  100
21.17  4.197  29
21.85  4.068  62
23.23  3.829  60
24.11  3.691  18
25.30  3.520  100
25.38  3.509  42
27.17  3.282  47
31.41  2.848  31

Crystal structure
```
ZnH6S4O16
1.0
5.135 0.000 0.000
0.000 15.507 0.000
-1.835 0.000 8.394
Zn H S O
2 12 8 32
Cartesian
0.000 0.000 0.000
-0.917 7.754 4.197
-0.514 3.714 6.783
0.403 4.040 2.586
1.320 8.054 1.076
0.403 15.207 5.273
0.582 11.433 7.022
1.499 11.828 2.825
1.801 3.679 5.569
2.719 4.074 1.372
2.898 0.300 3.121
1.980 7.453 7.318
2.897 11.467 5.808
3.815 11.794 1.611
0.166 10.274 2.143
-0.751 12.986 6.340
0.786 1.364 6.566
1.704 6.390 2.369
1.597 9.117 6.025
2.514 14.144 1.828
4.052 2.521 2.054
3.134 5.233 6.251
-0.151 1.668 1.342
-1.068 6.086 5.539
-0.321 3.457 3.018
-1.238 4.297 7.215
0.224 8.735 5.683
1.142 14.526 1.486
-0.185 0.964 7.582
0.733 6.789 3.385
1.185 9.640 1.338
0.268 13.621 5.535
0.804 11.185 3.223
-0.113 12.076 7.420
0.426 0.710 5.193
1.343 7.044 0.996
0.682 2.812 6.260
1.600 4.942 2.063
1.701 10.565 6.331
2.618 12.695 2.134
1.958 8.463 7.398
2.875 14.797 3.201
3.414 3.431 0.974
2.496 4.323 5.171
3.033 1.886 2.859
2.116 5.868 7.056
2.568 8.718 5.009
3.485 14.543 0.812
2.159 0.981 6.908
3.076 6.773 2.711
4.539 11.211 1.179
3.621 12.050 5.376
4.369 9.422 2.855
3.452 13.839 7.052
```



What did the first record say?
This entry pairs a crystal structure of ZnH12S2O12 with its theoretical X-ray powder pattern. Radiation: Cu Ka. Structure: a cell relaxed with PBE.

Top 10 peaks for 2θ from 10° to 90°, low angle first:
2θ (°)  d/Å  I_rel
16.60  5.339  50
17.63  5.032  77
18.20  4.874  100
20.14  4.408  41
20.28  4.379  72
20.71  4.289  57
26.75  3.332  60
32.14  2.785  21
33.71  2.659  23
42.89  2.108  22

Crystal structure
```
ZnH12S2O12
1.0
6.541 0.000 0.000
-0.547 6.727 0.000
-0.786 -1.506 6.814
Zn H S O
1 12 2 12
Cartesian
0.000 0.000 0.000
0.004 2.420 1.293
0.510 5.151 1.998
0.183 3.301 5.648
0.979 -0.137 2.654
1.228 -0.207 5.584
2.425 1.165 0.290
2.783 4.056 6.524
3.981 5.428 1.230
4.229 5.358 4.159
5.025 1.920 1.166
4.698 0.070 4.815
5.205 2.801 5.521
2.647 3.136 2.442
2.561 2.085 4.372
-0.722 3.380 6.028
0.058 6.024 1.946
1.244 3.451 2.126
1.136 -0.781 6.377
1.721 0.906 4.129
1.957 3.068 5.287
3.251 2.152 1.526
3.487 4.315 2.685
4.072 6.002 0.436
3.964 1.770 4.688
5.150 -0.803 4.868
5.931 1.841 0.786
```